# 1
Cr3Pt4: computed powder X-ray diffraction pattern (λ = 1.5418 Å (Cu Kα)), based on the GGA-PBE geometry in Alexandria.
Neutral-atom scattering factors, no anomalous dispersion.

Main lines, by intensity (2θ = 10–80°):
2θ = 42.91°, rel. 100
2θ = 38.21°, rel. 71
2θ = 72.31°, rel. 39
2θ = 30.30°, rel. 34
2θ = 55.15°, rel. 24
2θ = 18.64°, rel. 15
2θ = 35.81°, rel. 11
2θ = 64.22°, rel. 9

Atomic structure:
a b c (Å): 3.3310 3.3310 19.0454
angles (deg): 90.00 90.00 90.00
Element x y z (fractional)
Cr 0.0000 0.0000 0.0000
Cr 0.0000 0.0000 0.2910
Cr 0.0000 0.0000 0.7090
Cr 0.5000 0.5000 0.2090
Cr 0.5000 0.5000 0.5000
Cr 0.5000 0.5000 0.7910
Pt 0.0000 0.0000 0.1541
Pt 0.0000 0.0000 0.4293
Pt 0.0000 0.0000 0.5707
Pt 0.0000 0.0000 0.8459
Pt 0.5000 0.5000 0.0707
Pt 0.5000 0.5000 0.3459
Pt 0.5000 0.5000 0.6541
Pt 0.5000 0.5000 0.9293


# 2
Zn7Ag3: computed powder X-ray diffraction pattern (λ = 1.5418 Å (Cu Kα)), based on the GGA-PBE geometry in Alexandria.
Neutral-atom scattering factors, no anomalous dispersion.

Main lines, by intensity (2θ = 10–80°):
2θ = 38.92°, rel. 100
2θ = 39.59°, rel. 95
2θ = 44.88°, rel. 33
2θ = 45.92°, rel. 31
2θ = 46.13°, rel. 30
2θ = 66.16°, rel. 19
2θ = 67.12°, rel. 18
2θ = 78.31°, rel. 12

Atomic structure:
a b c (Å): 7.3428 7.3428 5.7108
angles (deg): 99.78 99.78 31.23
Element x y z (fractional)
Zn 0.0000 0.0000 0.0000
Zn 0.2008 0.2008 0.6014
Zn 0.4009 0.4009 0.1968
Zn 0.4011 0.4011 0.6995
Zn 0.5989 0.5989 0.3005
Zn 0.5991 0.5991 0.8032
Zn 0.7992 0.7992 0.3986
Ag 0.0000 0.0000 0.5000
Ag 0.1971 0.1971 0.1094
Ag 0.8029 0.8029 0.8906


# 3
SbAsNF2: computed powder X-ray diffraction pattern (λ = 1.5418 Å (Cu Kα)), based on the GGA-PBE geometry in Alexandria.
Neutral-atom scattering factors, no anomalous dispersion.

Main lines, by intensity (2θ = 10–80°):
2θ = 30.07°, rel. 100
2θ = 29.70°, rel. 45
2θ = 52.94°, rel. 41
2θ = 42.50°, rel. 35
2θ = 62.50°, rel. 21
2θ = 53.62°, rel. 17
2θ = 43.57°, rel. 16
2θ = 36.89°, rel. 16

Atomic structure:
a b c (Å): 4.2539 4.2539 4.1543
angles (deg): 90.00 90.00 90.00
Element x y z (fractional)
Sb 0.0000 0.0000 0.0000
As 0.5000 0.5000 0.5000
N 0.5000 0.5000 0.0000
F 0.0000 0.5000 0.5000
F 0.5000 0.0000 0.5000


Copy entry 3 word for word.
SbAsNF2: computed powder X-ray diffraction pattern (λ = 1.5418 Å (Cu Kα)), based on the GGA-PBE geometry in Alexandria.
Neutral-atom scattering factors, no anomalous dispersion.

Main lines, by intensity (2θ = 10–80°):
2θ = 30.07°, rel. 100
2θ = 29.70°, rel. 45
2θ = 52.94°, rel. 41
2θ = 42.50°, rel. 35
2θ = 62.50°, rel. 21
2θ = 53.62°, rel. 17
2θ = 43.57°, rel. 16
2θ = 36.89°, rel. 16

Atomic structure:
a b c (Å): 4.2539 4.2539 4.1543
angles (deg): 90.00 90.00 90.00
Element x y z (fractional)
Sb 0.0000 0.0000 0.0000
As 0.5000 0.5000 0.5000
N 0.5000 0.5000 0.0000
F 0.0000 0.5000 0.5000
F 0.5000 0.0000 0.5000